(1)
This entry pairs a crystal structure of Sm3Ag4Ge4 with its simulated powder diffractogram. Radiation: a wavelength of 1.5418 Å. Structure: a crystal structure in Alexandria, relaxed with PBE.

Peak list (6 most intense, 2θ from 10° to 80°, sorted by position)
32.7°, I 1000
34.1°, I 946
36.7°, I 307
41.0°, I 444
42.0°, I 373
44.8°, I 281

Crystal structure
```
Sm3Ag4Ge4
1.0
-2.2034 3.5896 7.3509
2.2034 -3.5896 7.3509
2.2034 3.5896 -7.3509
Sm Ag Ge
3 4 4
Cartesian
0.0000 0.0000 0.0000 Sm
2.2034 0.0000 5.4822 Sm
0.0000 3.5896 1.8688 Sm
2.2034 1.4071 -2.4810 Ag
2.2034 1.4071 2.4810 Ag
0.0000 2.1825 4.8700 Ag
0.0000 2.1825 9.8319 Ag
0.0000 0.0000 3.1845 Ge
2.2034 2.2805 0.0000 Ge
0.0000 1.3091 7.3509 Ge
0.0000 0.0000 11.5174 Ge
```

=====

(2)
This entry pairs a crystal structure of Tl5Sn3Bi3 with its simulated powder diffractogram. Radiation: a wavelength of 1.5418 Å. Structure: a crystal structure in Alexandria, relaxed with PBE.

Peak list (6 most intense, 2θ from 10° to 80°, sorted by position)
27.6°, I 997
30.8°, I 1000
33.3°, I 799
36.1°, I 486
41.8°, I 581
63.8°, I 370

Crystal structure
```
Tl5Sn3Bi3
1.0
11.1968 0.0000 0.0000
-5.5984 9.6967 0.0000
0.0000 0.0000 3.3923
Tl Sn Bi
5 3 3
Cartesian
-1.8678 3.2352 0.0000 Tl
0.0000 6.4645 0.0000 Tl
3.7357 0.0000 0.0000 Tl
3.7306 6.4615 0.0000 Tl
5.5984 3.2322 0.0000 Tl
-4.6654 8.0807 0.0000 Sn
0.9330 1.6161 0.0000 Sn
9.3307 0.0000 0.0000 Sn
-3.3032 5.7213 1.6961 Bi
2.2952 3.9754 1.6961 Bi
6.6064 0.0000 1.6961 Bi
```

=====

(3)
This entry pairs a crystal structure of Li2InAu6 with its simulated powder diffractogram. Radiation: a wavelength of 1.5418 Å. Structure: a crystal structure in Alexandria, relaxed with PBE.

Peak list (6 most intense, 2θ from 10° to 80°, sorted by position)
22.9°, I 164
37.8°, I 1000
43.0°, I 215
44.3°, I 315
63.5°, I 218
77.2°, I 240

Crystal structure
```
Li2InAu6
1.0
8.6679 0.0000 0.0000
0.0000 8.6679 0.0000
0.0000 0.0000 4.2045
Li In Au
4 2 12
Cartesian
1.6054 1.6054 0.0000 Li
2.7285 5.9394 2.1023 Li
5.9394 2.7285 2.1023 Li
7.0625 7.0625 0.0000 Li
0.0000 0.0000 2.1023 In
4.3340 4.3340 0.0000 In
0.0577 2.8610 2.1023 Au
1.3615 7.3064 0.0000 Au
1.4730 4.3917 0.0000 Au
2.8610 0.0577 2.1023 Au
2.9725 2.9725 2.1023 Au
4.2762 7.1950 0.0000 Au
4.3917 1.4730 0.0000 Au
5.6955 5.6955 2.1023 Au
5.8069 8.6102 2.1023 Au
7.1950 4.2762 0.0000 Au
7.3064 1.3615 0.0000 Au
8.6102 5.8069 2.1023 Au
```

=====

(4)
This entry pairs a crystal structure of Rb2LiCaBr5 with its simulated powder diffractogram. Radiation: a wavelength of 1.5418 Å. Structure: a crystal structure in Alexandria, relaxed with PBE.

Peak list (6 most intense, 2θ from 10° to 80°, sorted by position)
25.7°, I 272
27.2°, I 332
27.5°, I 358
27.8°, I 1000
30.1°, I 387
40.7°, I 259

Crystal structure
```
Rb2LiCaBr5
1.0
2.2159 -9.9960 0.0000
2.2159 9.9960 0.0000
0.0000 0.0000 14.3929
Rb Li Ca Br
4 2 2 10
Cartesian
2.2159 7.8767 7.1964 Rb
2.2159 7.4495 2.0426 Rb
2.2159 -7.4495 9.2390 Rb
2.2159 -7.8767 0.0000 Rb
2.2159 1.2575 3.7621 Li
2.2159 -1.2575 10.9585 Li
2.2159 5.8758 12.1733 Ca
2.2159 -5.8758 4.9768 Ca
2.2159 8.7959 12.2817 Br
2.2159 4.2475 6.9368 Br
2.2159 3.8115 3.0139 Br
2.2159 3.0381 11.8955 Br
2.2159 0.0424 1.5994 Br
2.2159 -0.0424 8.7959 Br
2.2159 -3.0381 4.6990 Br
2.2159 -3.8115 10.2103 Br
2.2159 -4.2475 14.1333 Br
2.2159 -8.7959 5.0852 Br
```

=====

(5)
This entry pairs a crystal structure of TbEr3Mg8 with its simulated powder diffractogram. Radiation: a wavelength of 1.5418 Å. Structure: a crystal structure in Alexandria, relaxed with PBE.

Peak list (6 most intense, 2θ from 10° to 80°, sorted by position)
18.0°, I 676
29.6°, I 690
29.8°, I 680
34.9°, I 1000
35.1°, I 333
52.7°, I 280

Crystal structure
```
TbEr3Mg8
1.0
3.0164 1.7415 9.7705
-3.0164 1.7415 9.7705
0.0000 -3.4830 9.7705
Tb Er Mg
1 3 8
Cartesian
0.0000 0.0000 0.0000 Tb
0.0000 0.0000 11.0112 Er
0.0000 0.0000 14.6644 Er
0.0000 0.0000 25.6480 Er
0.0000 0.0000 5.5034 Mg
0.0000 -1.7397 17.7097 Mg
-1.5066 0.8699 17.7097 Mg
-1.5064 -0.8697 22.6073 Mg
0.0000 0.0000 20.1579 Mg
1.5066 0.8699 17.7097 Mg
1.5064 -0.8697 22.6073 Mg
0.0000 1.7394 22.6073 Mg
```